Calculated powder XRD pattern of Cu21Si6Ge2 for Cu Kα X-rays, from a DFT-relaxed cell (GGA-PBE, Alexandria).
No peak broadening, texture or thermal motion is included.

Cell: 8.2031 8.2031 8.2031 Å, 60.00 60.00 60.00°
Element x y z (fractional)
Cu1 0.0000 0.0000 0.0000
Cu2 0.0000 0.0000 0.3421
Cu3 0.0000 0.0000 0.6579
Cu4 0.0000 0.3421 0.0000
Cu5 0.0000 0.3421 0.6579
Cu6 0.0000 0.6579 0.0000
Cu7 0.0000 0.6579 0.3421
Cu8 0.1149 0.6284 0.6284
Cu9 0.3421 0.0000 0.0000
Cu10 0.3421 0.0000 0.6579
Cu11 0.3421 0.6579 0.0000
Cu12 0.3716 0.3716 0.3716
Cu13 0.3716 0.3716 0.8851
Cu14 0.3716 0.8851 0.3716
Cu15 0.6284 0.1149 0.6284
Cu16 0.6284 0.6284 0.1149
Cu17 0.6284 0.6284 0.6284
Cu18 0.6579 0.0000 0.0000
Cu19 0.6579 0.0000 0.3421
Cu20 0.6579 0.3421 0.0000
Cu21 0.8851 0.3716 0.3716
Si1 0.2773 0.2773 0.7227
Si2 0.2773 0.7227 0.2773
Si3 0.2773 0.7227 0.7227
Si4 0.7227 0.2773 0.2773
Si5 0.7227 0.2773 0.7227
Si6 0.7227 0.7227 0.2773
Ge1 0.2500 0.2500 0.2500
Ge2 0.7500 0.7500 0.7500

Most intense lines, 15° ≤ 2θ ≤ 90°, low angle first:
2θ (°), Rel. int.
34.58, 11
38.00, 24
40.40, 100
44.16, 32
46.30, 26
47.00, 20
52.31, 13
68.65, 21
70.27, 12
81.25, 20